# In7Hg2Bi2
Calculated powder XRD pattern, Cu Kα, 1.54184 Å. Input: DFT lattice parameters and positions (GGA-PBE).
Neutral-atom scattering factors, no anomalous dispersion.

Top 12 peaks for 10° ≤ 2θ ≤ 90°, low angle first:
2θ/deg, d [Å], I_rel
31.5, 2.843, 100
32.3, 2.768, 97
32.5, 2.751, 97
32.7, 2.739, 100
35.0, 2.564, 79
36.4, 2.468, 68
40.7, 2.218, 51
50.4, 1.810, 25
52.4, 1.747, 25
54.1, 1.696, 21
55.4, 1.659, 20
56.2, 1.637, 19

```
In7Hg2Bi2
1.0
6.2426 0.0000 0.0000
-0.3669 7.0688 0.0000
-2.3458 -2.1761 7.0033
In Hg Bi
7 2 2
Cartesian
0.0000 0.0000 0.0000
-0.7309 5.1340 2.6456
1.2041 3.2295 0.6036
1.1352 1.1431 3.1975
2.5502 6.0852 1.3619
2.0242 2.1103 6.3241
3.8982 -0.0171 4.5098
-0.9180 2.9187 5.0308
2.3319 4.0662 3.8089
0.6400 -1.0153 5.8221
4.4550 2.0328 1.7919
```